Calculated powder diffractogram of YMg2Ga2Cu for Cu Kα, 1.54184 Å, from a PBE-relaxed structure.
Lines closer than 0.1° are merged.

Structure:
a = 5.1951 Å, b = 5.1951 Å, c = 10.5750 Å
α = 90.00°, β = 90.00°, γ = 90.00°
Space group I4/mmm (No. 139)
Unique sites:
Y (0.0000, 0.0000, 0.0000)
Mg (0.0000, 0.5000, 0.2500)
Ga (0.0000, 0.0000, 0.2829)
Cu (0.0000, 0.0000, 0.5000)

Main lines, in order of rising 2θ (10° ≤ 2θ ≤ 90°):
d/Å	intensity
3.673	100
2.917	19
2.644	31
2.598	79
2.146	30
1.853	42
1.837	27
1.643	19
1.508	21
1.395	14